Diffraction record for Nd4DyEr5. The X-ray diffraction stick pattern is computed, not measured: it uses a structure optimized by DFT (PBE) and CuKα.
Neutral-atom scattering factors, no anomalous dispersion.

Unit cell a=3.5205 b=8.7309 c=11.2617 alpha=90.08 beta=90.00 gamma=101.56
Space group P-1 (No. 2)
One atom of each set of equivalent atoms:
Nd 0.0322 0.0646 0.2494 x2
Nd 0.3441 0.6839 0.2501 x2
Dy 0.5000 0.0000 0.5000 x1
Er 0.1724 0.3461 0.0480 x2
Er 0.1728 0.3469 0.4508 x2
Er 0.5000 0.0000 0.0000 x1

The 8 most intense peaks (2θ = 10–80°), by angle:
- 2θ = 27.04°, d = 3.297 Å, I 21.3
- 2θ = 31.37°, d = 2.851 Å, I 28.7
- 2θ = 31.74°, d = 2.819 Å, I 45.7
- 2θ = 33.90°, d = 2.645 Å, I 100.0
- 2θ = 45.92°, d = 1.976 Å, I 9.7
- 2θ = 48.26°, d = 1.886 Å, I 15.2
- 2θ = 61.90°, d = 1.499 Å, I 12.6
- 2θ = 62.17°, d = 1.493 Å, I 13.4